Structure and simulated PXRD pattern of Ca5Pb6 (a DFT-relaxed cell (PBE, Alexandria); Cu Kα X-rays).
Kinematic intensities with the Lorentz-polarization factor, no thermal factor.

Most intense lines, 5 to 70 degrees two-theta, low angle first:
18.38°, I 90, (1 0 1); 25.24°, I 41, (0 2 -1); 26.04°, I 44, (1 0 -2); 31.41°, I 100, (1 2 0); 31.89°, I 48, (2 0 -1); 32.24°, I 46, (0 0 3); 36.44°, I 32, (-1 2 1); 36.72°, I 32, (1 2 -3); 37.26°, I 33, (2 0 2); 41.26°, I 26, (0 2 2)

Crystal structure
```
data_Ca5Pb6
_symmetry_space_group_name_H-M 'P -1'
_symmetry_Int_Tables_number 2
_cell_length_a 5.9481
_cell_length_b 7.0570
_cell_length_c 9.0314
_cell_angle_alpha 112.71
_cell_angle_beta 90.22
_cell_angle_gamma 90.32
loop_
_symmetry_equiv_pos_as_xyz
'x,y,z'
'-x,-y,-z'
loop_
_atom_site_label
_atom_site_fract_x
_atom_site_fract_y
_atom_site_fract_z
_atom_site_occupancy
Ca1 0.0000 0.0000 0.0000 1
Ca2 0.2914 0.3584 0.7166 1
Ca3 0.3390 0.8237 0.6479 1
Pb1 0.1723 0.4025 0.3346 1
Pb2 0.1720 0.9331 0.3359 1
Pb3 0.4986 0.7722 0.0001 1
```


Structure and simulated PXRD pattern of CaPb4 (a DFT-relaxed cell (PBE, Alexandria); Cu Kα X-rays).
Kinematic intensities with the Lorentz-polarization factor, no thermal factor.

Most intense lines, 5 to 70 degrees two-theta, low angle first:
30.96°, I 51, (1 -1 1); 31.12°, I 100, (1 1 3); 31.22°, I 52, (1 2 -1); 34.56°, I 38, (0 2 2); 36.50°, I 33, (2 1 0); 37.12°, I 31, (0 1 -4); 50.99°, I 13, (-2 1 2); 51.58°, I 13, (0 3 -2); 59.88°, I 16, (1 3 5); 63.32°, I 14, (1 1 -7)

Crystal structure
```
data_CaPb4
_symmetry_space_group_name_H-M 'P -1'
_symmetry_Int_Tables_number 2
_cell_length_a 4.9239
_cell_length_b 6.2206
_cell_length_c 10.9851
_cell_angle_alpha 87.05
_cell_angle_beta 89.81
_cell_angle_gamma 67.13
loop_
_symmetry_equiv_pos_as_xyz
'x,y,z'
'-x,-y,-z'
loop_
_atom_site_label
_atom_site_fract_x
_atom_site_fract_y
_atom_site_fract_z
_atom_site_occupancy
Ca1 0.2496 0.0007 0.2500 1
Pb1 0.0488 0.3935 0.8515 1
Pb2 0.1505 0.1973 0.5475 1
Pb3 0.3498 0.8025 0.9526 1
Pb4 0.4518 0.6053 0.6484 1
```


Structure and simulated PXRD pattern of CaPb (a DFT-relaxed cell (PBE, Alexandria); Cu Kα X-rays).
Kinematic intensities with the Lorentz-polarization factor, no thermal factor.

Most intense lines, 5 to 70 degrees two-theta, low angle first:
18.96°, I 100, (2 0 -1); 24.63°, I 47, (2 0 1); 25.30°, I 69, (1 1 0); 29.22°, I 91, (1 1 -1); 29.33°, I 73, (4 0 0); 31.31°, I 44, (1 1 1); 33.11°, I 60, (0 0 2); 34.21°, I 76, (3 1 -1); 38.47°, I 41, (4 0 -2); 39.47°, I 65, (3 1 1)

Crystal structure
```
data_CaPb
_symmetry_space_group_name_H-M 'C 1 2/m 1'
_symmetry_Int_Tables_number 12
_cell_length_a 12.5966
_cell_length_b 3.6779
_cell_length_c 5.5961
_cell_angle_alpha 90.00
_cell_angle_beta 104.74
_cell_angle_gamma 90.00
loop_
_symmetry_equiv_pos_as_xyz
'x,y,z'
'-x,-y,-z'
'-x,y,-z'
'x,-y,z'
'x+1/2,y+1/2,z'
'-x+1/2,-y+1/2,-z'
'-x+1/2,y+1/2,-z'
'x+1/2,-y+1/2,z'
loop_
_atom_site_label
_atom_site_fract_x
_atom_site_fract_y
_atom_site_fract_z
_atom_site_occupancy
Ca1 0.1285 0.0000 0.2465 1
Pb1 0.1069 0.5000 0.7296 1
```


Structure and simulated PXRD pattern of Ca3PdPb3 (a DFT-relaxed cell (PBE, Alexandria); Cu Kα X-rays).
Kinematic intensities with the Lorentz-polarization factor, no thermal factor.

Most intense lines, 5 to 70 degrees two-theta, low angle first:
15.47°, I 37, (2 0 -1); 20.52°, I 100, (1 1 0); 23.03°, I 40, (2 0 2); 24.26°, I 47, (2 0 -4); 29.54°, I 75, (1 1 -4); 31.24°, I 34, (4 0 -2); 34.26°, I 38, (3 1 -4); 36.14°, I 99, (3 1 2); 38.16°, I 50, (0 2 0); 44.11°, I 28, (1 1 6)

Crystal structure
```
data_Ca3PdPb3
_symmetry_space_group_name_H-M 'C 1 2/m 1'
_symmetry_Int_Tables_number 12
_cell_length_a 11.4690
_cell_length_b 4.7167
_cell_length_c 15.7654
_cell_angle_alpha 90.00
_cell_angle_beta 108.32
_cell_angle_gamma 90.00
loop_
_symmetry_equiv_pos_as_xyz
'x,y,z'
'-x,-y,-z'
'-x,y,-z'
'x,-y,z'
'x+1/2,y+1/2,z'
'-x+1/2,-y+1/2,-z'
'-x+1/2,y+1/2,-z'
'x+1/2,-y+1/2,z'
loop_
_atom_site_label
_atom_site_fract_x
_atom_site_fract_y
_atom_site_fract_z
_atom_site_occupancy
Ca1 0.0291 0.0000 0.3847 1
Ca2 0.0944 0.0000 0.9189 1
Ca3 0.2338 0.0000 0.2384 1
Pd1 0.2397 0.5000 0.3839 1
Pb1 0.0206 0.5000 0.2372 1
Pb2 0.1228 0.5000 0.0769 1
Pb3 0.1470 0.5000 0.5388 1
```